Entry 1:
Starting from the PBE geometry in Alexandria, the X-ray diffraction stick pattern of CeTh5Pb5 was simulated for a wavelength of 1.5418 Å.
Intensities are scaled so that the largest is 100.

```
data_CeTh5Pb5
_chemical_formula_sum 'Ce2 Th10 Pb10'
_space_group_name_H-M_alt 'C 1 2/m 1'
_space_group_IT_number 12
_cell_length_a 14.2157
_cell_length_b 6.4175
_cell_length_c 9.0549
_cell_angle_alpha 90.00
_cell_angle_beta 108.66
_cell_angle_gamma 90.00
loop_
_space_group_symop_operation_xyz
'x,y,z'
'-x,-y,-z'
'-x,y,-z'
'x,-y,z'
'x+1/2,y+1/2,z'
'-x+1/2,-y+1/2,-z'
'-x+1/2,y+1/2,-z'
'x+1/2,-y+1/2,z'
loop_
_atom_site_label
_atom_site_type_symbol
_atom_site_fract_x
_atom_site_fract_y
_atom_site_fract_z
Ce1 Ce 0.0000 0.0000 0.0000
Th1 Th 0.0000 0.0000 0.5000
Th2 Th 0.1608 0.5000 0.8221
Th3 Th 0.1623 0.5000 0.3385
Pb1 Pb 0.0000 0.5000 0.0000
Pb2 Pb 0.1655 0.0000 0.3320
Pb3 Pb 0.1712 0.0000 0.8362
```

The 8 most intense peaks (2θ = 10–90°), most intense first:
two_theta	I (rel.)	hkl
27.99	100.0	4 0 -2
39.85	99.4	4 2 -2
27.80	51.3	0 2 0
49.26	21.8	2 2 -4
49.56	21.3	6 2 0
65.09	19.4	4 4 -2
40.17	19.3	6 0 0
65.37	18.6	8 2 -4

Entry 2:
Starting from the PBE geometry in Alexandria, the X-ray diffraction stick pattern of Li3Pd13 was simulated for a wavelength of 1.5418 Å.
Intensities are scaled so that the largest is 100.

```
data_Li3Pd13
_chemical_formula_sum 'Li6 Pd26'
_space_group_name_H-M_alt 'A m m 2'
_space_group_IT_number 38
_cell_length_a 7.9529
_cell_length_b 7.8294
_cell_length_c 7.6727
_cell_angle_alpha 90.00
_cell_angle_beta 90.00
_cell_angle_gamma 90.00
loop_
_space_group_symop_operation_xyz
'x,y,z'
'-x,-y,z'
'-x,y,z'
'x,-y,z'
'x,y+1/2,z+1/2'
'-x,-y+1/2,z+1/2'
'-x,y+1/2,z+1/2'
'x,-y+1/2,z+1/2'
loop_
_atom_site_label
_atom_site_type_symbol
_atom_site_fract_x
_atom_site_fract_y
_atom_site_fract_z
Li1 Li 0.0000 0.0000 0.0000
Li2 Li 0.2534 0.0000 0.2592
Pd1 Pd 0.0000 0.0000 0.5023
Pd2 Pd 0.0000 0.2470 0.2550
Pd3 Pd 0.2467 0.0000 0.7592
Pd4 Pd 0.2473 0.2497 0.0066
Pd5 Pd 0.5000 0.0000 0.0112
Pd6 Pd 0.5000 0.0000 0.5027
Pd7 Pd 0.5000 0.2503 0.2568
```

The 8 most intense peaks (2θ = 10–90°), most intense first:
two_theta	I (rel.)	hkl
39.96	100.0	2 2 2
45.63	17.0	4 0 0
46.39	16.2	0 4 0
47.39	15.2	0 0 4
80.50	12.5	6 2 2
81.61	12.0	2 6 2
16.17	11.6	0 1 1
83.09	11.5	2 2 6

Entry 3:
Starting from the PBE geometry in Alexandria, the X-ray diffraction stick pattern of NdHoZr2O7 was simulated for a wavelength of 1.5418 Å.
Intensities are scaled so that the largest is 100.

```
data_NdHoZr2O7
_chemical_formula_sum 'Nd4 Ho4 Zr8 O28'
_space_group_name_H-M_alt 'I m m a'
_space_group_IT_number 74
_space_group_name_Hall '-I 2b 2'
_cell_length_a 7.5480
_cell_length_b 7.5515
_cell_length_c 10.6850
_cell_angle_alpha 90.00
_cell_angle_beta 90.00
_cell_angle_gamma 90.00
loop_
_atom_site_label
_atom_site_type_symbol
_atom_site_fract_x
_atom_site_fract_y
_atom_site_fract_z
Nd1 Nd 0.0000 0.0000 0.0000
Ho1 Ho 0.2500 0.2500 0.2500
Zr1 Zr 0.0000 0.0000 0.5000
Zr2 Zr 0.2500 0.2500 0.7500
O1 O 0.0000 0.2500 0.1344
O2 O 0.0000 0.2500 0.4125
O3 O 0.0000 0.2500 0.8387
O4 O 0.2122 0.0347 0.6266
```

The 8 most intense peaks (2θ = 10–90°), most intense first:
two_theta	I (rel.)	hkl
28.96	100.0	0 2 2
48.20	49.2	0 4 0
57.22	43.4	2 0 6
33.57	31.4	0 0 4
78.00	17.3	2 4 6
80.43	13.4	6 2 0
60.02	9.6	4 0 4
70.55	7.1	4 4 0